No. 1
Structure and calculated PXRD pattern of Na2AgO4 (a structure optimized by DFT (PBE); copper Kα).
Kinematic intensities with the Lorentz-polarization factor, no thermal factor.

Main lines, in order of rising 2θ (5 to 70 degrees two-theta):
16.72 deg, 5.302 Å, rel. 49
27.47 deg, 3.247 Å, rel. 89
32.33 deg, 2.769 Å, rel. 100
42.93 deg, 2.107 Å, rel. 11
48.57 deg, 1.875 Å, rel. 35
51.72 deg, 1.767 Å, rel. 32
56.70 deg, 1.623 Å, rel. 40
59.55 deg, 1.552 Å, rel. 10
64.13 deg, 1.452 Å, rel. 15
66.80 deg, 1.401 Å, rel. 11

Crystal structure
Cell: 6.4939 6.4939 6.4939 Å, 60.00 60.00 60.00°
Fractional positions:
Na: 0.0000 0.0000 0.0000
Na: 0.0000 0.0000 0.5000
Na: 0.0000 0.5000 0.0000
Na: 0.5000 0.0000 0.0000
Ag: 0.3750 0.3750 0.3750
Ag: 0.6250 0.6250 0.6250
O: 0.2530 0.2530 0.2530
O: 0.2530 0.2530 0.7409
O: 0.2530 0.7409 0.2530
O: 0.2591 0.7470 0.7470
O: 0.7409 0.2530 0.2530
O: 0.7470 0.2591 0.7470
O: 0.7470 0.7470 0.2591
O: 0.7470 0.7470 0.7470

***

No. 2
Structure and calculated PXRD pattern of Na2AgP2O7 (a structure optimized by DFT (PBE); copper Kα).
Kinematic intensities with the Lorentz-polarization factor, no thermal factor.

Main lines, in order of rising 2θ (5 to 70 degrees two-theta):
13.32 deg, 6.646 Å, rel. 50
16.46 deg, 5.385 Å, rel. 41
18.76 deg, 4.729 Å, rel. 35
25.15 deg, 3.541 Å, rel. 58
27.04 deg, 3.297 Å, rel. 87
28.81 deg, 3.099 Å, rel. 100
32.26 deg, 2.775 Å, rel. 36
33.28 deg, 2.692 Å, rel. 18
40.95 deg, 2.204 Å, rel. 38
46.72 deg, 1.944 Å, rel. 22

Crystal structure
Cell: 7.8419 7.8419 8.0373 Å, 112.03 112.03 44.11°
Fractional positions:
Na: 0.1063 0.3545 0.3018
Na: 0.3545 0.1063 0.8018
Na: 0.6455 0.8937 0.1982
Na: 0.8937 0.6455 0.6982
Ag: 0.0000 0.0000 0.0000
Ag: 0.0000 0.0000 0.5000
P: 0.2508 0.5308 0.1530
P: 0.4692 0.7492 0.3470
P: 0.5308 0.2508 0.6530
P: 0.7492 0.4692 0.8470
O: 0.0687 0.6906 0.2902
O: 0.1308 0.6466 0.9806
O: 0.2692 0.3546 0.6059
O: 0.3094 0.9313 0.2098
O: 0.3534 0.8692 0.5194
O: 0.3546 0.2692 0.1059
O: 0.4822 0.5178 0.2500
O: 0.5178 0.4822 0.7500
O: 0.6454 0.7308 0.8941
O: 0.6466 0.1308 0.4806
O: 0.6906 0.0687 0.7902
O: 0.7308 0.6454 0.3941
O: 0.8692 0.3534 0.0194
O: 0.9313 0.3094 0.7098